The following is a theoretical PXRD pattern of PmNpV2O8. It was derived from a cell relaxed with PBE+U, using λ = 1.5418 Å (Cu Kα).
Intensities are scaled so that the largest is 100.

Main lines, by angle (5 to 70 degrees two-theta):
two_theta  I/Imax
18.85  46
29.01  100
31.30  17
34.74  20
39.82  18
47.45  29
54.31  18
58.81  32

Cell and atoms:
Cell: 6.7828 6.7828 6.7828 Å, 135.24 135.24 65.15°
Positions (direct):
Pm1 0.0000 0.0000 0.0000
Np1 0.2500 0.7500 0.5000
V1 0.5000 0.5000 0.0000
V2 0.7500 0.2500 0.5000
O1 0.2670 0.6667 0.0956
O2 0.3333 0.4289 0.6003
O3 0.4068 0.0098 0.0652
O4 0.5711 0.1713 0.9044
O5 0.6584 0.5932 0.6030
O6 0.8287 0.7330 0.3997
O7 0.9447 0.3416 0.9348
O8 0.9902 0.0553 0.3970